For Y2Ho12Mg, a DFT-relaxed cell (GGA-PBE, Alexandria) gives the simulated powder XRD pattern in this record (Cu Kα, 1.54184 Å).
Neutral-atom scattering factors, no anomalous dispersion.

Cell and atoms:
abc: 6.6128 6.6128 24.0446
angles: 93.98 93.98 116.26
Element x y z (fractional)
Y 0.0244 0.0244 0.2657
Y 0.4760 0.4760 0.7124
Y 0.5240 0.5240 0.2876
Y 0.9756 0.9756 0.7343
Ho 0.0399 0.5524 0.3270
Ho 0.0676 0.5047 0.1946
Ho 0.1263 0.1263 0.1077
Ho 0.1535 0.1535 0.5795
Ho 0.1612 0.6404 0.5562
Ho 0.2058 0.6609 0.0662
Ho 0.3310 0.3310 0.4299
Ho 0.3391 0.7942 0.9338
Ho 0.3521 0.3521 0.8497
Ho 0.3596 0.8388 0.4438
Ho 0.4476 0.9601 0.6730
Ho 0.4953 0.9324 0.8054
Ho 0.5047 0.0676 0.1946
Ho 0.5524 0.0399 0.3270
Ho 0.6404 0.1612 0.5562
Ho 0.6479 0.6479 0.1503
Ho 0.6609 0.2058 0.0662
Ho 0.6690 0.6690 0.5701
Ho 0.7942 0.3391 0.9338
Ho 0.8388 0.3596 0.4438
Ho 0.8465 0.8465 0.4205
Ho 0.8737 0.8737 0.8923
Ho 0.9324 0.4953 0.8054
Ho 0.9601 0.4476 0.6730
Mg 0.2770 0.2770 0.9832
Mg 0.7230 0.7230 0.0168

Principal peaks in the range 2θ from 10° to 90°, low angle first:
2.979 Å, rel. 32.5; 2.912 Å, rel. 36.8; 2.808 Å, rel. 73.5; 2.798 Å, rel. 30.5; 2.789 Å, rel. 100.0; 2.767 Å, rel. 34.4; 2.632 Å, rel. 35.5; 2.504 Å, rel. 21.9; 1.982 Å, rel. 27.8; 1.618 Å, rel. 22.0